Starting from DFT lattice parameters and positions (GGA-PBE), the powder diffraction line list of ZnSbH was computed for CuKα.

```
data_ZnSbH
_space_group_name_H-M_alt 'P -1'
_space_group_IT_number 2
_space_group_name_Hall '-P 1'
_cell_length_a 4.674
_cell_length_b 4.685
_cell_length_c 6.330
_cell_angle_alpha 110.17
_cell_angle_beta 109.79
_cell_angle_gamma 90.67
loop_
_atom_site_label
_atom_site_type_symbol
_atom_site_fract_x
_atom_site_fract_y
_atom_site_fract_z
Zn1 Zn 0.198 0.306 0.499
Sb1 Sb 0.428 0.933 0.745
H1 H 0.050 0.438 0.988
```

Top 12 peaks for 2θ from 5° to 70°, by angle:
| h k l | d_spacing | Position (°2θ) | intensity |
| --- | --- | --- | --- |
| 0 0 1 | 5.532 | 16.02 | 66.5 |
| 0 1 0 | 4.351 | 20.41 | 100.0 |
| 1 0 -1 | 4.267 | 20.82 | 65.6 |
| 1 1 0 | 2.875 | 31.11 | 56.1 |
| 0 1 -2 | 2.863 | 31.24 | 53.9 |
| 1 0 -2 | 2.852 | 31.37 | 52.2 |
| 2 0 -1 | 2.336 | 38.54 | 31.4 |
| 1 1 1 | 2.158 | 41.87 | 29.8 |
| 1 -1 2 | 2.131 | 42.42 | 51.4 |
| -1 1 2 | 2.123 | 42.59 | 32.2 |
| 1 -2 0 | 2.070 | 43.73 | 55.0 |
| 0 1 2 | 2.022 | 44.83 | 30.4 |